The following is a computed X-ray diffraction stick pattern of La4SnAuN. It was derived from the GGA-PBE geometry in Alexandria, using Cu Kα X-rays.

Structural model:
```
data_La4SnAuN
_chemical_formula_sum 'La16 Sn4 Au4 N4'
_space_group_name_H-M_alt 'C m c m'
_space_group_IT_number 63
_space_group_name_Hall '-C 2c 2'
_cell_length_a 7.087
_cell_length_b 16.264
_cell_length_c 7.104
_cell_angle_alpha 90.00
_cell_angle_beta 90.00
_cell_angle_gamma 90.00
loop_
_atom_site_label
_atom_site_fract_x
_atom_site_fract_y
_atom_site_fract_z
_atom_site_occupancy
La1 0.000 0.064 0.250 1
La2 0.000 0.415 0.250 1
La3 0.250 0.250 0.000 1
Sn1 0.000 0.386 0.750 1
Au1 0.000 0.118 0.750 1
N1 0.000 0.266 0.250 1
```

The 12 most intense peaks (15° ≤ 2θ ≤ 90°), by angle:
- 25.10°, intensity 27, hkl 2 0 0
- 27.43°, intensity 83, hkl 2 2 0
- 32.81°, intensity 31, hkl 1 5 1
- 33.05°, intensity 24, hkl 0 6 0
- 33.52°, intensity 100, hkl 2 4 0
- 35.79°, intensity 77, hkl 2 0 2
- 49.34°, intensity 20, hkl 3 5 1
- 49.51°, intensity 31, hkl 2 6 2
- 51.46°, intensity 14, hkl 0 0 4
- 51.58°, intensity 14, hkl 4 0 0
- 59.35°, intensity 19, hkl 4 2 2
- 62.87°, intensity 40, hkl 4 4 2